Simulated powder X-ray diffraction pattern of SrLa2Co3O9 for Cu Kα (λ = 1.5418 Å), from the GGA+U geometry in Alexandria.
Neutral-atom scattering factors, no anomalous dispersion.

Cell and atoms:
```
data_SrLa2Co3O9
_chemical_formula_sum 'Sr1 La2 Co3 O9'
_space_group_name_H-M_alt 'P 1'
_space_group_IT_number 1
_space_group_name_Hall 'P 1'
_cell_length_a 5.4659
_cell_length_b 5.4784
_cell_length_c 6.6850
_cell_angle_alpha 89.31
_cell_angle_beta 89.47
_cell_angle_gamma 60.49
loop_
_atom_site_label
_atom_site_fract_x
_atom_site_fract_y
_atom_site_fract_z
Sr1 0.0000 0.0000 0.0000
La1 0.3366 0.3371 0.6726
La2 0.6657 0.6612 0.3228
Co1 0.0008 0.9992 0.4997
Co2 0.3288 0.3327 0.1647
Co3 0.6723 0.6669 0.8317
O1 0.1290 0.6510 0.3436
O2 0.1823 0.1284 0.3303
O3 0.3576 0.7912 0.6515
O4 0.4940 0.9978 0.9988
O5 0.5085 0.4952 0.0011
O6 0.6430 0.1999 0.3469
O7 0.8152 0.8750 0.6696
O8 0.8746 0.3496 0.6556
O9 0.9989 0.5095 0.0003
```

Principal peaks in the range 15 to 90 degrees two-theta, in order of rising 2θ:
Position (°2θ)  I_rel  h k l
32.48  514  1 -1 0
32.62  504  1 1 2
32.73  1000  1 2 0
32.83  995  1 0 -2
40.28  231  0 2 -1
46.61  333  0 2 2
46.80  338  2 0 2
47.38  319  2 2 -2
58.15  292  3 0 0
58.26  194  3 2 2
58.61  296  3 1 -2
68.73  184  2 0 -4